This entry pairs a crystal structure of Sr5Ir3O11 with its calculated powder diffractogram. Radiation: CuKα. Structure: a cell relaxed with PBE.
No peak broadening, texture or thermal motion is included.

Largest 10 diffraction maxima, by intensity, 2θ from 5° to 70°:
two_theta  I (rel.)
30.95  100.0
31.07  95.1
31.30  60.5
45.63  57.7
32.35  55.3
15.87  44.0
55.52  40.2
22.99  33.8
43.19  27.6
10.56  21.8

Structural model:
```
Sr5Ir3O11
1.0
2.768 -2.858 0.000
2.768 2.858 0.000
-0.091 0.000 16.756
Sr Ir O
5 3 11
Cartesian
0.000 0.000 0.000
2.548 0.000 10.380
2.643 0.000 6.527
2.767 0.000 2.674
5.425 0.000 13.052
2.621 0.000 14.903
5.382 0.000 8.582
5.449 0.000 4.469
1.477 1.278 4.508
3.817 1.276 8.542
2.608 0.000 12.823
2.702 0.000 0.228
1.477 -1.278 4.508
4.141 1.312 14.902
3.817 -1.276 8.542
5.382 0.000 10.608
5.415 0.000 6.526
5.456 0.000 2.443
4.141 -1.312 14.902
```